Starting from a structure optimized by DFT (PBE), the PXRD pattern of LiCa2CuPt2 was computed for copper Kα.
Peak positions follow from Bragg's law for the DFT cell and can differ from measured ones.

Main lines, most intense first (2θ = 10–90°):
| 2θ/deg | intensity |
| --- | --- |
| 25.10 | 100 |
| 40.04 | 37 |
| 40.25 | 36 |
| 44.31 | 35 |
| 51.48 | 33 |
| 44.05 | 33 |
| 24.96 | 30 |
| 30.79 | 25 |
| 31.06 | 24 |
| 33.33 | 16 |

Atomic structure:
```
LiCa2CuPt2
1.0
-2.9036 7.1342 2.8792
2.9036 -7.1342 2.8792
2.9036 7.1342 -2.8792
Li Ca Cu Pt
2 4 2 4
Direct
0.2500 0.2500 0.0000 Li
0.7500 0.7500 0.0000 Li
0.1693 0.7411 0.9105 Ca
0.3307 0.2411 0.5718 Ca
0.6693 0.7589 0.4282 Ca
0.8307 0.2589 0.0895 Ca
0.2500 0.7500 0.5000 Cu
0.7500 0.2500 0.5000 Cu
0.1152 0.2459 0.3611 Pt
0.3848 0.7459 0.1306 Pt
0.6152 0.2541 0.8694 Pt
0.8848 0.7541 0.6389 Pt
```